Record 1
Structure and theoretical XRD peak list of Fe3O2F2 (a structure optimized by DFT (GGA+U); copper Kα).
Lines closer than 0.1° are merged.

Cell and atoms:
abc: 6.3991 6.4448 8.5949
angles: 90.06 90.09 90.14
Space group P1 (No. 1)
Symmetry-distinct sites (fractional):
Fe 0.0000 0.0000 0.0000 (multiplicity 1)
Fe 0.9998 0.2493 0.4019 (multiplicity 1)
Fe 0.9999 0.4990 0.0001 (multiplicity 1)
Fe 0.9999 0.7493 0.4020 (multiplicity 1)
Fe 0.2501 0.9997 0.6806 (multiplicity 1)
Fe 0.2501 0.4992 0.6812 (multiplicity 1)
Fe 0.4986 0.4977 0.3617 (multiplicity 1)
Fe 0.5000 0.2495 0.9505 (multiplicity 1)
Fe 0.5002 0.7495 0.9604 (multiplicity 1)
Fe 0.5010 0.0011 0.3616 (multiplicity 1)
Fe 0.7499 0.9996 0.6809 (multiplicity 1)
Fe 0.7498 0.4990 0.6804 (multiplicity 1)
O 0.2161 0.5014 0.4523 (multiplicity 1)
O 0.2176 0.9999 0.4517 (multiplicity 1)
O 0.2819 0.5009 0.9111 (multiplicity 1)
O 0.2840 0.0033 0.9112 (multiplicity 1)
O 0.7162 0.4963 0.9108 (multiplicity 1)
O 0.7182 0.9969 0.9104 (multiplicity 1)
O 0.7823 0.4983 0.4517 (multiplicity 1)
O 0.7837 0.9979 0.4521 (multiplicity 1)
F 0.9999 0.2494 0.6927 (multiplicity 1)
F 0.0001 0.7494 0.6938 (multiplicity 1)
F 0.0057 0.2494 0.1627 (multiplicity 1)
F 0.4932 0.7491 0.1993 (multiplicity 1)
F 0.4998 0.2494 0.6672 (multiplicity 1)
F 0.5000 0.7494 0.6730 (multiplicity 1)
F 0.5059 0.2494 0.2028 (multiplicity 1)
F 0.9943 0.7495 0.1620 (multiplicity 1)

Peak list (10 most intense, 2θ = 5–70°, by angle)
hkl 0 0 1, 2θ 10.29, d = 8.595 Å, rel. 34; hkl 2 0 1, 2θ 29.80, d = 2.998 Å, rel. 61; hkl 0 0 3, 2θ 31.22, d = 2.865 Å, rel. 49; hkl 1 -2 1, 2θ 32.82, d = 2.729 Å, rel. 100; hkl 2 0 -2, 2θ 34.96, d = 2.566 Å, rel. 29; hkl 1 2 2, 2θ 37.61, d = 2.391 Å, rel. 28; hkl 2 2 -1, 2θ 41.10, d = 2.196 Å, rel. 23; hkl 0 0 4, 2θ 42.05, d = 2.149 Å, rel. 30; hkl 0 4 0, 2θ 57.17, d = 1.611 Å, rel. 26; hkl 2 2 -4, 2θ 59.17, d = 1.561 Å, rel. 34

=====

Record 2
Structure and theoretical XRD peak list of Sr2FeOsO6 (a structure optimized by DFT (GGA+U); copper Kα).
Lines closer than 0.1° are merged.

Cell and atoms:
abc: 5.6138 5.6138 8.0064
angles: 90.00 90.00 90.00
Space group I4/mmm (No. 139)
Symmetry-distinct sites (fractional):
Sr 0.0000 0.5000 0.2500 (multiplicity 4)
Fe 0.0000 0.0000 0.0000 (multiplicity 2)
Os 0.0000 0.0000 0.5000 (multiplicity 2)
O 0.0000 0.0000 0.2535 (multiplicity 4)
O 0.2476 0.2476 0.5000 (multiplicity 8)

Peak list (10 most intense, 2θ = 5–70°, by angle)
hkl 1 0 1, 2θ 19.31, d = 4.596 Å, rel. 36; hkl 1 1 2, 2θ 31.75, d = 2.819 Å, rel. 100; hkl 2 0 0, 2θ 31.88, d = 2.807 Å, rel. 49; hkl 2 1 1, 2θ 37.55, d = 2.396 Å, rel. 14; hkl 0 0 4, 2θ 45.31, d = 2.002 Å, rel. 16; hkl 2 2 0, 2θ 45.71, d = 1.985 Å, rel. 32; hkl 2 0 4, 2θ 56.47, d = 1.630 Å, rel. 20; hkl 3 1 2, 2θ 56.73, d = 1.623 Å, rel. 39; hkl 2 2 4, 2θ 66.32, d = 1.409 Å, rel. 19; hkl 4 0 0, 2θ 66.64, d = 1.403 Å, rel. 10

=====

Record 3
Structure and theoretical XRD peak list of Li3Mn8O16 (a structure optimized by DFT (GGA+U); copper Kα).
Lines closer than 0.1° are merged.

Cell and atoms:
abc: 5.9470 5.9470 8.3606
angles: 90.00 90.00 90.00
Space group P-4m2 (No. 115)
Symmetry-distinct sites (fractional):
Li 0.0000 0.0000 0.0000 (multiplicity 1)
Li 0.0000 0.5000 0.7493 (multiplicity 2)
Mn 0.0000 0.2510 0.3715 (multiplicity 4)
Mn 0.2491 0.5000 0.1230 (multiplicity 4)
O 0.0000 0.2181 0.6136 (multiplicity 4)
O 0.0000 0.2738 0.1355 (multiplicity 4)
O 0.2157 0.5000 0.3557 (multiplicity 4)
O 0.2729 0.5000 0.8913 (multiplicity 4)

Peak list (10 most intense, 2θ = 5–70°, by angle)
hkl 1 0 1, 2θ 18.31, d = 4.846 Å, rel. 100; hkl 2 1 1, 2θ 35.42, d = 2.534 Å, rel. 28; hkl 1 0 3, 2θ 35.58, d = 2.524 Å, rel. 14; hkl 2 0 2, 2θ 37.10, d = 2.423 Å, rel. 10; hkl 2 2 0, 2θ 43.02, d = 2.103 Å, rel. 36; hkl 0 0 4, 2θ 43.29, d = 2.090 Å, rel. 17; hkl 2 1 3, 2θ 47.24, d = 1.924 Å, rel. 6; hkl 3 2 1, 2θ 56.90, d = 1.618 Å, rel. 12; hkl 4 0 0, 2θ 62.47, d = 1.487 Å, rel. 10; hkl 2 2 4, 2θ 62.67, d = 1.482 Å, rel. 20